Record 1
Structure and calculated XRD peak list of TlPb2BrCl4 (the PBE geometry in Alexandria; Cu Kα (weighted mean of Kα1 and Kα2)).
Intensities are scaled so that the largest is 100.

Atomic structure:
Cell lengths 15.4527, 4.1261, 9.9128 Å; angles 90.00, 121.18, 90.00 degrees
Positions (direct):
Tl  0.0000  0.0000  0.0000
Tl  0.5000  0.5000  0.0000
Pb  0.1738  0.0000  0.7385
Pb  0.3262  0.5000  0.2615
Pb  0.6738  0.5000  0.7385
Pb  0.8262  0.0000  0.2615
Br  0.0000  0.5000  0.5000
Br  0.5000  0.0000  0.5000
Cl  0.1385  0.5000  0.9383
Cl  0.2173  0.0000  0.3078
Cl  0.2827  0.5000  0.6922
Cl  0.3615  0.0000  0.0617
Cl  0.6385  0.0000  0.9383
Cl  0.7173  0.5000  0.3078
Cl  0.7827  0.0000  0.6922
Cl  0.8615  0.5000  0.0617

The 6 most intense peaks (5 to 70 degrees two-theta), low angle first:
18.1 deg, intensity 93, (2 0 -2); 20.9 deg, intensity 57, (2 0 1); 26.4 deg, intensity 64, (1 1 1); 29.7 deg, intensity 100, (3 1 -2); 36.1 deg, intensity 57, (1 1 -3); 41.0 deg, intensity 44, (6 0 -4)



Record 2
Structure and calculated XRD peak list of Th4TcTe2P (the PBE geometry in Alexandria; Cu Kα (weighted mean of Kα1 and Kα2)).
Intensities are scaled so that the largest is 100.

Atomic structure:
Cell lengths 7.4619, 4.1774, 7.8425 Å; angles 90.00, 107.66, 90.00 degrees
Positions (direct):
Th  0.2227  0.0000  0.2031
Th  0.2595  0.5000  0.7940
Th  0.7405  0.5000  0.2060
Th  0.7773  0.0000  0.7969
Tc  0.0000  0.5000  0.0000
Te  0.0000  0.0000  0.5000
Te  0.5000  0.5000  0.5000
P  0.5000  0.0000  0.0000

The 6 most intense peaks (5 to 70 degrees two-theta), low angle first:
25.8 deg, intensity 23, (1 1 -1); 28.9 deg, intensity 52, (2 0 -2); 29.1 deg, intensity 100, (1 1 1); 40.8 deg, intensity 31, (1 1 -3); 42.3 deg, intensity 41, (3 1 -1); 52.9 deg, intensity 20, (2 2 -2)